This entry pairs a crystal structure of Ca3Si2GeO9 with its simulated X-ray diffraction stick pattern. Radiation: Cu Ka. Structure: DFT lattice parameters and positions (GGA-PBE).
Intensities are scaled so that the largest is 100.

Structure:
```
Ca3Si2GeO9
1.0
7.2031 0.0000 0.0000
-0.0887 7.4910 0.0000
-0.7671 -1.8592 7.8386
Ca Si Ge O
6 4 2 18
direct
0.0289 0.2535 0.0037 Ca
0.2615 0.9204 0.7009 Ca
0.2630 0.4308 0.7072 Ca
0.7370 0.5692 0.2928 Ca
0.7385 0.0796 0.2991 Ca
0.9711 0.7465 0.9963 Ca
0.2311 0.5474 0.3144 Si
0.4465 0.7745 0.1024 Si
0.5535 0.2255 0.8976 Si
0.7689 0.4526 0.6856 Si
0.2289 0.1101 0.3164 Ge
0.7711 0.8899 0.6836 Ge
0.0222 0.0342 0.1872 O
0.0353 0.5639 0.1999 O
0.2314 0.1315 0.5326 O
0.2379 0.6296 0.5185 O
0.2789 0.3272 0.2708 O
0.3004 0.7309 0.9315 O
0.3283 0.2294 0.9010 O
0.4062 0.6332 0.2311 O
0.4196 0.9854 0.2244 O
0.5804 0.0146 0.7756 O
0.5938 0.3668 0.7689 O
0.6717 0.7706 0.0990 O
0.6996 0.2691 0.0685 O
0.7211 0.6728 0.7292 O
0.7621 0.3704 0.4815 O
0.7686 0.8685 0.4674 O
0.9647 0.4361 0.8001 O
0.9778 0.9658 0.8128 O
```

Largest 10 diffraction maxima, sorted by position, 10° ≤ 2θ ≤ 90°:
2θ 22.69, I 21; 2θ 23.15, I 11; 2θ 24.85, I 26; 2θ 26.29, I 28; 2θ 28.41, I 16; 2θ 29.34, I 100; 2θ 29.80, I 14; 2θ 37.42, I 10; 2θ 48.62, I 18; 2θ 50.97, I 11